Diffraction record for CeVO4. The powder diffraction line list is simulated, not measured: it uses a DFT-relaxed cell (PBE+U, Alexandria) and CuKα.

Cell and atoms:
a b c (Å): 5.190 5.190 11.284
angles (deg): 90.00 90.00 90.00
Space group I4_1/a (No. 88, origin choice 2)
Asymmetric unit:
Ce1 0.000 0.250 0.125
V1 0.000 0.250 0.625
O1 0.163 0.492 0.295

Principal peaks in the range 2θ = 10–90°, in order of rising 2θ:
d_spacing  2theta  Rel. int.  (hkl)
4.715  18.82  27.0  1 0 1
3.076  29.03  100.0  1 1 2
2.821  31.72  14.2  0 0 4
2.595  34.56  17.4  2 0 0
2.273  39.64  12.8  1 2 1
1.975  45.95  9.6  2 1 3
1.910  47.61  30.3  2 0 4
1.835  49.69  14.4  2 2 0
1.674  54.85  16.5  1 1 6
1.576  58.58  27.2  3 1 2
1.538  60.15  13.0  2 2 4
1.237  77.13  11.3  1 3 6